No. 1
Starting from a DFT-relaxed cell (PBE, Alexandria), the PXRD pattern of Tb2Pm5SmDy was computed for CuKα.

Atomic structure:
```
data_Tb2Pm5SmDy
_chemical_formula_sum 'Tb4 Pm10 Sm2 Dy2'
_symmetry_space_group_name_H-M 'P 1'
_symmetry_Int_Tables_number 1
_cell_length_a 10.5536
_cell_length_b 10.5536
_cell_length_c 10.7047
_cell_angle_alpha 90.00
_cell_angle_beta 90.00
_cell_angle_gamma 148.84
loop_
_symmetry_equiv_pos_as_xyz
'x,y,z'
loop_
_atom_site_label
_atom_site_type_symbol
_atom_site_fract_x
_atom_site_fract_y
_atom_site_fract_z
Tb1 Tb 0.1111 0.8889 0.5000
Tb2 Tb 0.1161 0.8839 0.0814
Tb3 Tb 0.8839 0.1161 0.5814
Tb4 Tb 0.8889 0.1111 0.0000
Pm1 Pm 0.0166 0.9834 0.7855
Pm2 Pm 0.2809 0.7191 0.0731
Pm3 Pm 0.2975 0.7025 0.4684
Pm4 Pm 0.3906 0.6094 0.7880
Pm5 Pm 0.4798 0.5202 0.5055
Pm6 Pm 0.5202 0.4798 0.0055
Pm7 Pm 0.6094 0.3906 0.2880
Pm8 Pm 0.7025 0.2975 0.9684
Pm9 Pm 0.7191 0.2809 0.5731
Pm10 Pm 0.9834 0.0166 0.2855
Sm1 Sm 0.2008 0.7992 0.7733
Sm2 Sm 0.7992 0.2008 0.2733
Dy1 Dy 0.4107 0.5893 0.2213
Dy2 Dy 0.5893 0.4107 0.7213
```

Principal peaks in the range 5 to 70 degrees two-theta, low angle first:
2θ/deg	d (Å)	I (rel.)
27.61	3.231	15
29.91	2.987	34
31.57	2.834	39
31.83	2.812	100
33.48	2.676	12
42.43	2.131	10
50.42	1.810	10
56.38	1.632	20
58.55	1.577	13
60.71	1.525	12

***

No. 2
Starting from a DFT-relaxed cell (PBE, Alexandria), the PXRD pattern of Sr2LaF7 was computed for CuKα.

Atomic structure:
```
data_Sr2LaF7
_chemical_formula_sum 'Sr4 La2 F14'
_symmetry_space_group_name_H-M 'P 1'
_symmetry_Int_Tables_number 1
_cell_length_a 4.1124
_cell_length_b 4.1124
_cell_length_c 21.4994
_cell_angle_alpha 95.03
_cell_angle_beta 95.03
_cell_angle_gamma 60.20
loop_
_symmetry_equiv_pos_as_xyz
'x,y,z'
loop_
_atom_site_label
_atom_site_type_symbol
_atom_site_fract_x
_atom_site_fract_y
_atom_site_fract_z
Sr1 Sr 0.0000 0.0000 0.0000
Sr2 Sr 0.2836 0.2836 0.8348
Sr3 Sr 0.5683 0.5683 0.6760
Sr4 Sr 0.8523 0.8523 0.5163
La1 La 0.1317 0.1317 0.3463
La2 La 0.3841 0.3841 0.1653
F1 F 0.0351 0.0351 0.1129
F2 F 0.0957 0.0957 0.2291
F3 F 0.1727 0.1727 0.4740
F4 F 0.2480 0.2480 0.7193
F5 F 0.3481 0.3481 0.0482
F6 F 0.4666 0.4666 0.3463
F7 F 0.5319 0.5319 0.5591
F8 F 0.6054 0.6054 0.7965
F9 F 0.6550 0.6550 0.9638
F10 F 0.7177 0.7177 0.1572
F11 F 0.7865 0.7865 0.2893
F12 F 0.8177 0.8177 0.4050
F13 F 0.8905 0.8905 0.6389
F14 F 0.9633 0.9633 0.8781
```

Principal peaks in the range 5 to 70 degrees two-theta, low angle first:
2θ/deg	d (Å)	I (rel.)
24.98	3.565	100
26.77	3.330	91
26.96	3.307	46
27.37	3.258	32
29.40	3.038	49
43.33	2.088	49
43.90	2.062	43
44.04	2.056	85
51.14	1.786	48
51.49	1.775	31